Calculated PXRD pattern of ZrMnH10O5F6 for Cu Kα, 1.54184 Å, from a cell relaxed with GGA+U.

Structural model:
a b c (Å): 15.794 7.629 8.805
angles (deg): 90.00 122.06 90.00
Space group C2 (No. 5)
Inequivalent atoms, fractional coordinates:
Zr: 0.000 0.000 0.000 [2 per cell]
Zr: 0.000 0.500 0.000 [2 per cell]
Mn: 0.230 0.251 0.775 [4 per cell]
H: 0.072 0.467 0.725 [4 per cell]
H: 0.073 0.031 0.723 [4 per cell]
H: 0.079 0.761 0.370 [4 per cell]
H: 0.119 0.652 0.549 [4 per cell]
H: 0.121 0.938 0.617 [4 per cell]
H: 0.141 0.290 0.403 [4 per cell]
H: 0.174 0.576 0.814 [4 per cell]
H: 0.192 0.249 0.059 [4 per cell]
H: 0.209 0.856 0.877 [4 per cell]
H: 0.240 0.764 0.511 [4 per cell]
O: 0.127 0.764 0.502 [4 per cell]
O: 0.133 0.487 0.720 [4 per cell]
O: 0.135 0.018 0.718 [4 per cell]
O: 0.204 0.257 0.512 [4 per cell]
O: 0.247 0.751 0.948 [4 per cell]
F: 0.010 0.749 0.144 [4 per cell]
F: 0.012 0.064 0.237 [4 per cell]
F: 0.020 0.433 0.245 [4 per cell]
F: 0.089 0.251 0.070 [4 per cell]
F: 0.149 0.566 0.116 [4 per cell]
F: 0.149 0.934 0.117 [4 per cell]

Principal peaks in the range 15° ≤ 2θ ≤ 90°, by angle:
| hkl | d_spacing | 2theta | intensity |
| --- | --- | --- | --- |
| 1 1 -1 | 5.764 | 15.37 | 30 |
| 2 0 -2 | 4.404 | 20.16 | 97 |
| 2 0 1 | 4.031 | 22.05 | 32 |
| 4 0 -1 | 3.930 | 22.63 | 71 |
| 0 2 1 | 3.396 | 26.24 | 29 |
| 2 2 0 | 3.314 | 26.90 | 100 |
| 2 0 -3 | 2.884 | 31.01 | 57 |
| 6 2 -1 | 2.113 | 42.79 | 42 |
| 6 2 0 | 1.926 | 47.20 | 27 |
| 0 4 0 | 1.907 | 47.69 | 29 |